(1)
The following is a theoretical X-ray diffraction stick pattern of Cs4LaU3O12. It was derived from a crystal structure in Alexandria, relaxed with GGA-PBE, using copper Kα.

Cell and atoms:
a b c (Å): 7.7371 7.7371 7.7371
angles (deg): 109.47 109.47 109.47
Atoms (fractional coordinates):
Cs 0.0000 0.0000 0.5000
Cs 0.0000 0.5000 0.0000
Cs 0.5000 0.0000 0.0000
Cs 0.5000 0.5000 0.5000
La 0.0000 0.0000 0.0000
U 0.0000 0.5000 0.5000
U 0.5000 0.0000 0.5000
U 0.5000 0.5000 0.0000
O 0.0000 0.2742 0.2742
O 0.0000 0.7258 0.7258
O 0.2500 0.5000 0.7500
O 0.2500 0.7500 0.5000
O 0.2742 0.0000 0.2742
O 0.2742 0.2742 0.0000
O 0.5000 0.2500 0.7500
O 0.5000 0.7500 0.2500
O 0.7258 0.0000 0.7258
O 0.7258 0.7258 0.0000
O 0.7500 0.2500 0.5000
O 0.7500 0.5000 0.2500

Peak list (10 most intense, 10 to 80 degrees two-theta, low angle first)
14.02°, I 3.0; 19.88°, I 9.5; 28.25°, I 100.0; 40.38°, I 27.7; 45.40°, I 4.6; 50.01°, I 42.2; 58.44°, I 18.2; 62.36°, I 2.3; 66.15°, I 19.3; 73.43°, I 6.1

(2)
The following is a theoretical X-ray diffraction stick pattern of TbTh3N4. It was derived from a crystal structure in Alexandria, relaxed with GGA-PBE, using copper Kα.

Cell and atoms:
a b c (Å): 5.1278 5.1278 5.1278
angles (deg): 90.00 90.00 90.00
Atoms (fractional coordinates):
Tb 0.0000 0.0000 0.0000
Th 0.0000 0.5000 0.5000
Th 0.5000 0.0000 0.5000
Th 0.5000 0.5000 0.0000
N 0.0000 0.0000 0.5000
N 0.0000 0.5000 0.0000
N 0.5000 0.0000 0.0000
N 0.5000 0.5000 0.5000

Peak list (10 most intense, 10 to 80 degrees two-theta, low angle first)
17.29°, I 1.9; 24.55°, I 1.7; 30.19°, I 100.0; 35.00°, I 67.0; 39.29°, I 1.1; 43.22°, I 0.9; 50.33°, I 47.9; 59.82°, I 46.8; 62.77°, I 16.4; 73.94°, I 7.7

(3)
The following is a theoretical X-ray diffraction stick pattern of HoH6Ru. It was derived from a crystal structure in Alexandria, relaxed with GGA-PBE, using copper Kα.

Cell and atoms:
a b c (Å): 4.5972 4.5972 4.5972
angles (deg): 56.90 56.90 56.90
Atoms (fractional coordinates):
Ho 0.0000 0.0000 0.0000
H 0.0508 0.5980 0.5980
H 0.4020 0.4020 0.9492
H 0.4020 0.9492 0.4020
H 0.5980 0.0508 0.5980
H 0.5980 0.5980 0.0508
H 0.9492 0.4020 0.4020
Ru 0.5000 0.5000 0.5000

Peak list (10 most intense, 10 to 80 degrees two-theta, low angle first)
28.17°, I 100.0; 39.28°, I 42.5; 41.22°, I 35.9; 47.36°, I 7.8; 50.67°, I 20.5; 58.25°, I 13.0; 64.56°, I 19.4; 67.30°, I 17.0; 69.88°, I 7.6; 73.84°, I 12.9

(4)
The following is a theoretical X-ray diffraction stick pattern of CsSi2Br. It was derived from a crystal structure in Alexandria, relaxed with GGA-PBE, using copper Kα.

Cell and atoms:
a b c (Å): 7.7454 7.7454 7.7454
angles (deg): 90.00 90.00 90.00
Atoms (fractional coordinates):
Cs 0.0000 0.0000 0.0000
Cs 0.0000 0.5000 0.5000
Cs 0.5000 0.0000 0.5000
Cs 0.5000 0.5000 0.0000
Si 0.2500 0.2500 0.2500
Si 0.2500 0.2500 0.7500
Si 0.2500 0.7500 0.2500
Si 0.2500 0.7500 0.7500
Si 0.7500 0.2500 0.2500
Si 0.7500 0.2500 0.7500
Si 0.7500 0.7500 0.2500
Si 0.7500 0.7500 0.7500
Br 0.0000 0.0000 0.5000
Br 0.0000 0.5000 0.0000
Br 0.5000 0.0000 0.0000
Br 0.5000 0.5000 0.5000

Peak list (10 most intense, 10 to 80 degrees two-theta, low angle first)
19.85°, I 7.0; 22.96°, I 39.6; 32.70°, I 100.0; 40.34°, I 12.2; 46.92°, I 17.6; 52.86°, I 16.6; 58.37°, I 36.6; 68.53°, I 11.4; 73.34°, I 7.9; 78.03°, I 15.9

(5)
The following is a theoretical X-ray diffraction stick pattern of AlVGa. It was derived from a crystal structure in Alexandria, relaxed with GGA-PBE, using copper Kα.

Cell and atoms:
a b c (Å): 3.6058 4.0261 6.4702
angles (deg): 90.00 90.00 90.00
Atoms (fractional coordinates):
Al 0.0000 0.0000 0.0000
Al 0.5000 0.5000 0.0000
V 0.0000 0.5000 0.2983
V 0.5000 0.0000 0.2983
Ga 0.0000 0.0000 0.6041
Ga 0.5000 0.5000 0.6041

Peak list (10 most intense, 10 to 80 degrees two-theta, low angle first)
13.69°, I 54.8; 33.36°, I 15.7; 36.21°, I 88.2; 41.89°, I 30.5; 43.81°, I 100.0; 45.03°, I 29.8; 50.63°, I 20.7; 63.18°, I 16.9; 67.74°, I 13.5; 70.06°, I 14.9

(6)
The following is a theoretical X-ray diffraction stick pattern of Sr3UCu2S6. It was derived from a crystal structure in Alexandria, relaxed with GGA-PBE, using copper Kα.

Cell and atoms:
a b c (Å): 7.2161 7.2161 7.4985
angles (deg): 90.00 90.00 120.00
Atoms (fractional coordinates):
Sr 0.0000 0.0000 0.0000
Sr 0.3333 0.6667 0.6016
Sr 0.6667 0.3333 0.3984
U 0.0000 0.0000 0.5000
Cu 0.3333 0.6667 0.1864
Cu 0.6667 0.3333 0.8136
S 0.1671 0.3342 0.2869
S 0.1671 0.8329 0.2869
S 0.3342 0.1671 0.7131
S 0.6658 0.8329 0.2869
S 0.8329 0.1671 0.7131
S 0.8329 0.6658 0.7131

Peak list (10 most intense, 10 to 80 degrees two-theta, low angle first)
11.80°, I 42.9; 14.17°, I 41.0; 24.67°, I 100.0; 27.43°, I 21.3; 27.75°, I 65.0; 34.50°, I 29.1; 37.47°, I 59.3; 43.44°, I 22.7; 45.38°, I 34.7; 50.60°, I 30.0